For Te2Mo3S4, a structure optimized by DFT (PBE) gives the computed powder diffractogram in this record (λ = 1.5418 Å (Cu Kα)).

Cell and atoms:
abc: 3.3012 3.3012 30.4614
angles: 90.00 90.00 120.00
Space group P3m1 (No. 156)
Unique sites:
Te 0.0000 0.0000 0.0000 [1 per cell]
Te 0.0000 0.0000 0.1258 [1 per cell]
Mo 0.0000 0.0000 0.8315 [1 per cell]
Mo 0.6667 0.3333 0.0629 [1 per cell]
Mo 0.6667 0.3333 0.6002 [1 per cell]
S 0.0000 0.0000 0.5500 [1 per cell]
S 0.0000 0.0000 0.6505 [1 per cell]
S 0.6667 0.3333 0.7813 [1 per cell]
S 0.6667 0.3333 0.8817 [1 per cell]

Peak list (10 most intense, 2θ = 5–70°, low angle first)
index	2theta	intensity
0 0 2	5.80	100.0
0 0 4	11.62	34.2
0 0 5	14.54	6.3
1 0 0	31.29	12.8
0 1 1	31.43	7.8
0 1 6	36.05	19.2
1 0 7	37.65	22.5
0 1 10	43.41	7.2
1 0 11	45.61	12.1
1 1 0	55.71	10.9

=====

For Ta2Al, a structure optimized by DFT (PBE) gives the computed powder diffractogram in this record (λ = 1.5418 Å (Cu Kα)).

Cell and atoms:
abc: 9.9224 9.9224 5.4138
angles: 90.00 90.00 90.00
Space group P4_2/mnm (No. 136)
Unique sites:
Ta 0.0622 0.2630 0.0000 [8 per cell]
Ta 0.0968 0.0968 0.5000 [4 per cell]
Ta 0.1886 0.8114 0.2484 [8 per cell]
Al 0.0000 0.0000 0.0000 [2 per cell]
Al 0.0347 0.3639 0.5000 [8 per cell]

Peak list (10 most intense, 2θ = 5–70°, low angle first)
index	2theta	intensity
1 1 0	12.62	25.9
2 0 0	17.88	35.3
2 1 1	25.96	49.6
4 1 0	37.37	100.0
2 0 2	37.86	23.4
3 3 0	38.49	18.9
2 1 2	38.98	93.0
4 1 1	41.04	41.3
3 3 1	42.12	79.9
6 0 2	66.22	21.3

=====

For Mg5Si9, a structure optimized by DFT (PBE) gives the computed powder diffractogram in this record (λ = 1.5418 Å (Cu Kα)).

Cell and atoms:
abc: 7.6068 7.6686 10.0385
angles: 72.88 80.29 60.48
Space group P1 (No. 1)
Unique sites:
Mg 0.0000 0.0000 0.0000 [1 per cell]
Mg 0.0057 0.4738 0.4933 [1 per cell]
Mg 0.2503 0.9709 0.4754 [1 per cell]
Mg 0.2895 0.6701 0.2942 [1 per cell]
Mg 0.4891 0.7581 0.9955 [1 per cell]
Mg 0.5022 0.1956 0.4705 [1 per cell]
Mg 0.5899 0.3899 0.8567 [1 per cell]
Mg 0.6394 0.7518 0.6523 [1 per cell]
Mg 0.8479 0.2840 0.3295 [1 per cell]
Mg 0.9097 0.7349 0.8512 [1 per cell]
Si 0.2216 0.3161 0.2692 [1 per cell]
Si 0.2368 0.5639 0.0355 [1 per cell]
Si 0.2438 0.3225 0.9126 [1 per cell]
Si 0.2513 0.0818 0.1360 [1 per cell]
Si 0.2515 0.7840 0.7862 [1 per cell]
Si 0.2529 0.5783 0.6334 [1 per cell]
Si 0.2557 0.1103 0.6985 [1 per cell]
Si 0.5547 0.0817 0.7903 [1 per cell]
Si 0.5725 0.3031 0.1667 [1 per cell]
Si 0.5936 0.4882 0.5296 [1 per cell]
Si 0.6145 0.0169 0.0603 [1 per cell]
Si 0.6163 0.7596 0.3374 [1 per cell]
Si 0.8432 0.1483 0.6592 [1 per cell]
Si 0.8464 0.3972 0.0424 [1 per cell]
Si 0.8483 0.9042 0.2987 [1 per cell]
Si 0.8963 0.6295 0.1552 [1 per cell]
Si 0.9311 0.8828 0.5319 [1 per cell]
Si 0.9566 0.3776 0.7897 [1 per cell]

Peak list (10 most intense, 2θ = 5–70°, low angle first)
index	2theta	intensity
0 2 3	34.22	47.3
3 1 1	36.36	55.9
0 2 -2	37.17	49.2
1 2 4	38.33	79.4
1 -1 3	39.03	85.5
2 1 -3	40.16	82.0
0 3 1	40.57	55.9
3 0 0	40.93	100.0
3 3 1	41.09	35.7
3 2 3	41.51	38.3

=====

For SrMg6B, a structure optimized by DFT (PBE) gives the computed powder diffractogram in this record (λ = 1.5418 Å (Cu Kα)).

Cell and atoms:
abc: 4.6655 5.8808 14.0306
angles: 90.00 90.00 90.00
Space group Amm2 (No. 38)
Unique sites:
Sr 0.0000 0.0000 0.0000 [2 per cell]
Mg 0.0000 0.2464 0.7442 [4 per cell]
Mg 0.5000 0.0000 0.1667 [2 per cell]
Mg 0.5000 0.0000 0.5956 [2 per cell]
Mg 0.5000 0.2325 0.3799 [4 per cell]
B 0.0000 0.0000 0.3815 [2 per cell]

Peak list (10 most intense, 2θ = 5–70°, low angle first)
index	2theta	intensity
0 1 1	16.34	54.5
0 1 3	24.32	27.0
1 1 1	25.18	71.2
1 1 3	31.05	60.5
1 0 4	31.92	100.0
0 2 2	33.03	49.7
0 1 5	35.44	33.0
1 2 2	38.39	86.8
2 0 0	38.59	43.1
2 2 2	51.69	27.2

=====

For LaAs2Ru2, a structure optimized by DFT (PBE) gives the computed powder diffractogram in this record (λ = 1.5418 Å (Cu Kα)).

Cell and atoms:
abc: 4.2294 4.2294 10.6443
angles: 90.00 90.00 90.00
Space group I4/mmm (No. 139)
Unique sites:
La 0.0000 0.0000 0.0000 [2 per cell]
As 0.0000 0.0000 0.3664 [4 per cell]
Ru 0.0000 0.5000 0.2500 [4 per cell]

Peak list (10 most intense, 2θ = 5–70°, low angle first)
index	2theta	intensity
0 0 2	16.66	11.4
1 0 3	32.95	72.5
1 1 2	34.40	100.0
2 0 0	42.76	63.1
1 1 4	45.63	20.4
1 0 5	47.83	16.7
2 1 3	55.02	33.2
1 1 6	60.70	27.3
2 2 0	62.07	20.5
2 1 5	66.08	12.6

=====

For CsHg5Cl11, a structure optimized by DFT (PBE) gives the computed powder diffractogram in this record (λ = 1.5418 Å (Cu Kα)).

Cell and atoms:
abc: 12.4959 14.8867 6.9409
angles: 90.00 120.26 90.00
Space group C2/m (No. 12)
Unique sites:
Cs 0.0000 0.0000 0.0000 [2 per cell]
Hg 0.0000 0.5000 0.0000 [2 per cell]
Hg 0.1828 0.1669 0.6821 [8 per cell]
Cl 0.0000 0.0000 0.5000 [2 per cell]
Cl 0.0798 0.2196 0.3132 [8 per cell]
Cl 0.1466 0.5000 0.3788 [4 per cell]
Cl 0.2066 0.3747 0.9419 [8 per cell]

Peak list (10 most intense, 2θ = 5–70°, low angle first)
index	2theta	intensity
1 1 -1	14.10	90.6
0 2 1	19.01	39.2
1 3 0	19.68	68.2
2 2 0	20.33	46.6
1 3 -1	22.03	58.9
3 3 -1	28.07	52.6
4 0 -1	28.65	100.0
2 4 0	29.15	42.7
0 2 2	32.19	32.0
2 6 -2	44.93	41.3

=====

For NpAl3, a structure optimized by DFT (PBE) gives the computed powder diffractogram in this record (λ = 1.5418 Å (Cu Kα)).

Cell and atoms:
abc: 4.2590 4.2590 4.2590
angles: 90.00 90.00 90.00
Space group Pm-3m (No. 221)
Unique sites:
Np 0.0000 0.0000 0.0000 [1 per cell]
Al 0.0000 0.5000 0.5000 [3 per cell]

Peak list (9 most intense, 2θ = 5–70°, low angle first)
index	2theta	intensity
1 0 0	20.86	100.0
1 1 0	29.66	86.3
1 1 1	36.54	78.8
2 0 0	42.45	39.0
2 1 0	47.75	48.7
2 1 1	52.64	36.9
2 2 0	61.59	26.4
3 0 0	65.78	24.0
3 1 0	69.84	16.2